CeTm4Sc5: calculated powder diffractogram (λ = 1.5418 Å (Cu Kα)), based on a structure optimized by DFT (PBE).
Peak positions follow from Bragg's law for the DFT cell and can differ from measured ones.

Structural model:
```
CeTm4Sc5
1.0
-4.9882 4.9882 2.7874
4.9882 -4.9882 2.7874
4.9882 4.9882 -2.7874
Ce Tm Sc
1 4 5
Cartesian
0.0000 0.0000 0.0000
3.2234 0.0000 1.4711
6.7530 0.0000 1.4711
0.0000 3.2234 1.4711
0.0000 6.7530 1.4711
0.0000 0.0000 2.6239
3.1265 3.1265 1.3343
1.8617 -1.8617 4.1217
-1.8617 1.8617 4.1217
1.8617 1.8617 4.1217
```

Peak list (6 most intense, 2θ from 10° to 90°, by angle)
2θ/deg, intensity
25.57, 48
31.32, 100
34.60, 22
38.28, 41
56.75, 17
64.89, 20